The following is a theoretical X-ray diffraction stick pattern of Sn. It was derived from a DFT-relaxed cell (GGA-PBE, Alexandria), using Cu Kα (weighted mean of Kα1 and Kα2).

Crystal structure
abc: 5.8766 3.4406 8.4669
angles: 90.00 105.86 90.00
Space group C2/m (No. 12)
Asymmetric unit:
Sn1 0.0000 0.0000 0.0000 [2 per cell]
Sn2 0.2282 0.0000 0.6664 [4 per cell]

Largest 10 diffraction maxima, low angle first, 2θ = 10–90°:
- hkl 2 0 -1, 30.45 deg, I 54
- hkl 0 0 3, 32.99 deg, I 73
- hkl 2 0 -2, 33.28 deg, I 46
- hkl 1 1 1, 33.86 deg, I 100
- hkl 1 1 -2, 35.02 deg, I 92
- hkl 2 0 1, 36.38 deg, I 37
- hkl 3 1 -1, 53.90 deg, I 37
- hkl 3 1 -4, 63.42 deg, I 24
- hkl 0 2 3, 64.08 deg, I 23
- hkl 4 0 0, 66.17 deg, I 22